Entry 1:
TbErTeSe2: calculated PXRD pattern (Cu Kα), based on a structure optimized by DFT (GGA-PBE).

Cell and atoms:
Lattice parameters (Å, degrees): 4.6264 4.6264 13.9955 90.00 90.00 90.00
Space group I4mm (No. 107)
One atom of each set of equivalent atoms:
Tb 0.0000 0.0000 0.0000 x2
Er 0.0000 0.0000 0.7201 x2
Te 0.0000 0.0000 0.3625 x2
Se 0.0000 0.5000 0.1129 x4

Principal peaks in the range 10° ≤ 2θ ≤ 80°, in order of rising 2θ:
hkl 1 0 3, 2θ = 27.15°, 3.285 Å, rel. 100
hkl 1 1 0, 2θ = 27.26°, 3.271 Å, rel. 24
hkl 1 1 2, 2θ = 30.16°, 2.964 Å, rel. 23
hkl 1 1 4, 2θ = 37.62°, 2.391 Å, rel. 42
hkl 2 0 0, 2θ = 38.94°, 2.313 Å, rel. 43
hkl 1 1 6, 2θ = 47.90°, 1.899 Å, rel. 26
hkl 2 1 3, 2θ = 48.11°, 1.891 Å, rel. 42
hkl 2 2 0, 2θ = 56.24°, 1.636 Å, rel. 15
hkl 3 0 3, 2θ = 63.56°, 1.464 Å, rel. 14
hkl 3 1 6, 2θ = 76.93°, 1.239 Å, rel. 13


Entry 2:
BaCo2Pb: calculated PXRD pattern (Cu Kα), based on a structure optimized by DFT (GGA-PBE).

Cell and atoms:
Lattice parameters (Å, degrees): 4.1808 4.1808 19.4610 90.00 90.00 120.00
Space group R3m (No. 160, hexagonal axes)
One atom of each set of equivalent atoms:
Ba 0.0000 0.0000 0.0000 x3
Co 0.0000 0.0000 0.2145 x3
Co 0.0000 0.0000 0.5454 x3
Pb 0.0000 0.0000 0.8097 x3

Principal peaks in the range 10° ≤ 2θ ≤ 80°, in order of rising 2θ:
hkl 0 0 3, 2θ = 13.65°, 6.487 Å, rel. 35
hkl 1 0 1, 2θ = 25.02°, 3.560 Å, rel. 71
hkl 0 0 6, 2θ = 27.50°, 3.244 Å, rel. 23
hkl 1 0 4, 2θ = 30.78°, 2.905 Å, rel. 82
hkl 0 1 5, 2θ = 33.81°, 2.651 Å, rel. 100
hkl 1 0 7, 2θ = 40.93°, 2.205 Å, rel. 23
hkl 1 1 0, 2θ = 43.28°, 2.090 Å, rel. 76
hkl 1 1 6, 2θ = 52.05°, 1.757 Å, rel. 25
hkl 1 0 10, 2θ = 53.45°, 1.714 Å, rel. 22
hkl 2 0 5, 2θ = 56.02°, 1.641 Å, rel. 24


Entry 3:
SrCoW2: calculated PXRD pattern (Cu Kα), based on a structure optimized by DFT (GGA-PBE).

Cell and atoms:
Lattice parameters (Å, degrees): 3.2041 3.1990 7.6632 90.00 90.16 90.00
Space group Pm (No. 6)
One atom of each set of equivalent atoms:
Sr 0.0000 0.0000 0.0000 x1
Co 0.4982 0.5000 0.6818 x1
W 0.5000 0.5000 0.3387 x1
W 0.9970 0.0000 0.5280 x1

Principal peaks in the range 10° ≤ 2θ ≤ 80°, in order of rising 2θ:
hkl 0 0 1, 2θ = 11.55°, 7.663 Å, rel. 100
hkl 1 0 -1, 2θ = 30.25°, 2.954 Å, rel. 16
hkl 1 0 -2, 2θ = 36.56°, 2.458 Å, rel. 71
hkl 1 0 2, 2θ = 36.61°, 2.455 Å, rel. 24
hkl 1 1 0, 2θ = 39.82°, 2.264 Å, rel. 56
hkl 1 1 1, 2θ = 41.60°, 2.171 Å, rel. 19
hkl 0 1 3, 2θ = 45.41°, 1.997 Å, rel. 25
hkl 1 0 4, 2θ = 55.96°, 1.643 Å, rel. 14
hkl 1 2 -2, 2θ = 70.21°, 1.341 Å, rel. 21
hkl 2 1 3, 2θ = 76.28°, 1.248 Å, rel. 11


Entry 4:
LaZn2NiAu4: calculated PXRD pattern (Cu Kα), based on a structure optimized by DFT (GGA-PBE).

Cell and atoms:
Lattice parameters (Å, degrees): 4.4321 4.4321 26.9506 90.00 90.00 120.00
Space group R-3m (No. 166, hexagonal axes)
One atom of each set of equivalent atoms:
La 0.0000 0.0000 0.0000 x3
Zn 0.0000 0.0000 0.2341 x6
Ni 0.0000 0.0000 0.5000 x3
Au 0.0000 0.0000 0.1325 x6
Au 0.0000 0.0000 0.4013 x6

Principal peaks in the range 10° ≤ 2θ ≤ 80°, in order of rising 2θ:
hkl 1 0 4, 2θ = 26.73°, 3.335 Å, rel. 31
hkl 0 1 5, 2θ = 28.55°, 3.127 Å, rel. 21
hkl 1 0 7, 2θ = 32.95°, 2.718 Å, rel. 31
hkl 0 1 8, 2θ = 35.45°, 2.532 Å, rel. 67
hkl 1 1 0, 2θ = 40.72°, 2.216 Å, rel. 100
hkl 0 1 11, 2θ = 43.84°, 2.065 Å, rel. 38
hkl 2 0 8, 2θ = 55.07°, 1.668 Å, rel. 19
hkl 1 1 15, 2θ = 67.06°, 1.396 Å, rel. 19
hkl 1 2 8, 2θ = 70.70°, 1.332 Å, rel. 18
hkl 3 0 0, 2θ = 74.11°, 1.279 Å, rel. 17